No. 1
Starting from a GGA-PBE-relaxed structure, the X-ray powder pattern of PmSm2Sc was computed for a wavelength of 1.5418 Å.
Kinematic intensities with the Lorentz-polarization factor, no thermal factor.

Most intense lines, 2θ = 5–70°, in order of falling intensity:
| index | d/Å | 2θ (°) | I (rel.) |
| --- | --- | --- | --- |
| 0 1 5 | 2.816 | 31.77 | 100 |
| 1 0 7 | 2.614 | 34.31 | 64 |
| 0 0 12 | 2.865 | 31.22 | 46 |
| 1 1 12 | 1.513 | 61.25 | 40 |
| 1 1 0 | 1.782 | 51.26 | 36 |
| 1 0 4 | 2.905 | 30.78 | 36 |

a = 3.5646 Å, b = 3.5646 Å, c = 34.3778 Å
α = 90.00°, β = 90.00°, γ = 120.00°
Space group R3m (No. 160, hexagonal axes)
Unique sites:
Pm 0.0000 0.0000 0.0000 [3 per cell]
Sm 0.0000 0.0000 0.5797 [3 per cell]
Sm 0.0000 0.0000 0.7545 [3 per cell]
Sc 0.0000 0.0000 0.1670 [3 per cell]

No. 2
Starting from a GGA-PBE-relaxed structure, the X-ray powder pattern of Ti3Ni3As4 was computed for a wavelength of 1.5418 Å.
Kinematic intensities with the Lorentz-polarization factor, no thermal factor.

Most intense lines, 2θ = 5–70°, in order of falling intensity:
| index | d/Å | 2θ (°) | I (rel.) |
| --- | --- | --- | --- |
| 3 2 1 | 2.252 | 40.05 | 100 |
| 4 2 0 | 1.884 | 48.31 | 25 |
| 2 1 1 | 3.439 | 25.91 | 24 |
| 5 1 0 | 1.652 | 55.63 | 24 |
| 3 1 0 | 2.664 | 33.64 | 17 |
| 4 2 2 | 1.720 | 53.27 | 17 |

a = 8.424 Å, b = 8.424 Å, c = 8.424 Å
α = 90.00°, β = 90.00°, γ = 90.00°
Space group I-43d (No. 220)
Unique sites:
Ti 0.000 0.250 0.375 [12 per cell]
Ni 0.000 0.250 0.875 [12 per cell]
As 0.083 0.083 0.083 [16 per cell]

No. 3
Starting from a GGA-PBE-relaxed structure, the X-ray powder pattern of U3Cd2S8 was computed for a wavelength of 1.5418 Å.
Kinematic intensities with the Lorentz-polarization factor, no thermal factor.

Most intense lines, 2θ = 5–70°, in order of falling intensity:
| index | d/Å | 2θ (°) | I (rel.) |
| --- | --- | --- | --- |
| 0 2 1 | 3.418 | 26.07 | 100 |
| 2 0 0 | 6.165 | 14.37 | 93 |
| 2 2 -1 | 3.069 | 29.10 | 79 |
| 4 2 -1 | 2.361 | 38.11 | 63 |
| 4 2 1 | 2.223 | 40.58 | 63 |
| 0 0 2 | 3.447 | 25.85 | 60 |

a = 12.423 Å, b = 7.871 Å, c = 6.946 Å
α = 90.00°, β = 97.01°, γ = 90.00°
Space group C2/m (No. 12)
Unique sites:
U 0.000 0.000 0.000 [2 per cell]
U 0.000 0.251 0.500 [4 per cell]
Cd 0.214 0.500 0.068 [4 per cell]
S 0.112 0.000 0.351 [4 per cell]
S 0.116 0.500 0.376 [4 per cell]
S 0.122 0.239 0.854 [8 per cell]

No. 4
Starting from a GGA-PBE-relaxed structure, the X-ray powder pattern of Ac6AgPd4 was computed for a wavelength of 1.5418 Å.
Kinematic intensities with the Lorentz-polarization factor, no thermal factor.

Most intense lines, 2θ = 5–70°, in order of falling intensity:
| index | d/Å | 2θ (°) | I (rel.) |
| --- | --- | --- | --- |
| 2 2 0 | 2.950 | 30.30 | 100 |
| 2 0 1 | 3.132 | 28.50 | 76 |
| 2 2 -3 | 2.557 | 35.09 | 70 |
| 0 0 3 | 2.961 | 30.18 | 47 |
| 4 0 1 | 1.772 | 51.57 | 32 |
| 2 2 3 | 1.810 | 50.43 | 29 |

a = 8.833 Å, b = 8.856 Å, c = 9.919 Å
α = 90.00°, β = 116.41°, γ = 90.00°
Space group Cm (No. 8)
Unique sites:
Ac 0.000 0.000 0.000 [2 per cell]
Ac 0.011 0.500 0.999 [2 per cell]
Ac 0.111 0.244 0.709 [4 per cell]
Ac 0.184 0.251 0.354 [4 per cell]
Ag 0.432 0.000 0.354 [2 per cell]
Pd 0.294 0.244 0.076 [4 per cell]
Pd 0.317 0.500 0.633 [2 per cell]
Pd 0.328 0.000 0.632 [2 per cell]